1.
Diffraction record for PaAgSn2O8. The powder diffraction line list is calculated, not measured: it uses a DFT-relaxed cell (GGA-PBE, Alexandria) and Cu Ka.

Largest 8 diffraction maxima, by angle, 10° ≤ 2θ ≤ 90°:
Position (°2θ)  I (rel.)
17.56  16
25.45  94
30.44  100
36.30  24
48.08  70
56.92  20
59.01  16
61.70  19

Cell and atoms:
```
data_PaAgSn2O8
_cell_length_a 7.000
_cell_length_b 7.000
_cell_length_c 7.297
_cell_angle_alpha 90.00
_cell_angle_beta 90.00
_cell_angle_gamma 90.00
_symmetry_space_group_name_H-M 'I -4 m 2'
_symmetry_Int_Tables_number 119
_symmetry_space_group_name_Hall 'I -4 -2'
loop_
_atom_site_label
_atom_site_fract_x
_atom_site_fract_y
_atom_site_fract_z
Pa1 0.000 0.000 0.000
Ag1 0.000 0.500 0.250
Sn1 0.000 0.000 0.500
Sn2 0.000 0.500 0.750
O1 0.000 0.189 0.293
O2 0.000 0.296 0.932
```



2.
Diffraction record for KRbCuO2. The powder diffraction line list is calculated, not measured: it uses a DFT-relaxed cell (GGA-PBE, Alexandria) and Cu Ka.

Largest 8 diffraction maxima, by angle, 10° ≤ 2θ ≤ 90°:
Position (°2θ)  I (rel.)
20.27  100
23.36  52
27.06  61
28.54  40
30.31  91
31.67  84
41.21  36
42.77  42

Cell and atoms:
```
data_KRbCuO2
_cell_length_a 8.762
_cell_length_b 13.182
_cell_length_c 4.465
_cell_angle_alpha 90.00
_cell_angle_beta 90.00
_cell_angle_gamma 90.00
_symmetry_space_group_name_H-M 'C m m e'
_symmetry_Int_Tables_number 67
_symmetry_space_group_name_Hall '-C 2a 2'
loop_
_atom_site_label
_atom_site_fract_x
_atom_site_fract_y
_atom_site_fract_z
K1 0.250 0.000 0.000
Rb1 0.000 0.250 0.232
Cu1 0.000 0.000 0.500
O1 0.000 0.104 0.741
```



3.
Diffraction record for Ca2Al7Ag. The powder diffraction line list is calculated, not measured: it uses a DFT-relaxed cell (GGA-PBE, Alexandria) and Cu Ka.

Largest 8 diffraction maxima, by angle, 10° ≤ 2θ ≤ 90°:
Position (°2θ)  I (rel.)
22.15  23
31.42  37
33.47  100
42.16  44
43.54  24
44.96  20
53.49  23
71.54  20

Cell and atoms:
```
data_Ca2Al7Ag
_cell_length_a 4.287
_cell_length_b 4.287
_cell_length_c 11.423
_cell_angle_alpha 90.00
_cell_angle_beta 90.00
_cell_angle_gamma 90.00
_symmetry_space_group_name_H-M 'P -4 m 2'
_symmetry_Int_Tables_number 115
loop_
_symmetry_equiv_pos_as_xyz
'x,y,z'
'y,-x,-z'
'-x,-y,z'
'-y,x,-z'
'-x,y,z'
'-y,-x,-z'
'x,-y,z'
'y,x,-z'
loop_
_atom_site_label
_atom_site_fract_x
_atom_site_fract_y
_atom_site_fract_z
Ca1 0.000 0.500 0.247
Al1 0.000 0.000 0.000
Al2 0.000 0.000 0.500
Al3 0.000 0.500 0.640
Al4 0.000 0.500 0.864
Al5 0.500 0.500 0.500
Ag1 0.500 0.500 0.000
```



4.
Diffraction record for Sr2AlGaPd2. The powder diffraction line list is calculated, not measured: it uses a DFT-relaxed cell (GGA-PBE, Alexandria) and Cu Ka.

Largest 8 diffraction maxima, by angle, 10° ≤ 2θ ≤ 90°:
Position (°2θ)  I (rel.)
11.95  25
28.38  54
31.44  100
37.52  62
40.57  58
52.21  46
53.62  27
58.72  19

Cell and atoms:
```
data_Sr2AlGaPd2
_cell_length_a 16.080
_cell_length_b 6.287
_cell_length_c 6.291
_cell_angle_alpha 90.00
_cell_angle_beta 112.92
_cell_angle_gamma 90.00
_symmetry_space_group_name_H-M 'C 1 2/c 1'
_symmetry_Int_Tables_number 15
loop_
_symmetry_equiv_pos_as_xyz
'x,y,z'
'-x,-y,-z'
'-x,y,-z+1/2'
'x,-y,z+1/2'
'x+1/2,y+1/2,z'
'-x+1/2,-y+1/2,-z'
'-x+1/2,y+1/2,-z+1/2'
'x+1/2,-y+1/2,z+1/2'
loop_
_atom_site_label
_atom_site_fract_x
_atom_site_fract_y
_atom_site_fract_z
Sr1 0.168 0.245 0.168
Al1 0.000 0.500 0.250
Ga1 0.000 0.000 0.250
Pd1 0.090 0.258 0.590
```



5.
Diffraction record for HoAl3PdAu. The powder diffraction line list is calculated, not measured: it uses a DFT-relaxed cell (GGA-PBE, Alexandria) and Cu Ka.

Largest 8 diffraction maxima, by angle, 10° ≤ 2θ ≤ 90°:
Position (°2θ)  I (rel.)
20.57  54
25.53  100
29.54  90
30.61  80
38.14  55
40.27  73
41.26  56
43.06  96

Cell and atoms:
```
data_HoAl3PdAu
_cell_length_a 6.048
_cell_length_b 12.814
_cell_length_c 5.842
_cell_angle_alpha 90.00
_cell_angle_beta 90.00
_cell_angle_gamma 90.00
_symmetry_space_group_name_H-M 'C m c m'
_symmetry_Int_Tables_number 63
_symmetry_space_group_name_Hall '-C 2c 2'
loop_
_atom_site_label
_atom_site_fract_x
_atom_site_fract_y
_atom_site_fract_z
Ho1 0.000 0.204 0.250
Al1 0.000 0.366 0.750
Al2 0.214 0.000 0.000
Pd1 0.000 0.413 0.250
Au1 0.000 0.160 0.750
```